(1)
This entry pairs a crystal structure of Cl with its computed X-ray diffraction stick pattern. Radiation: CuKα. Structure: the PBE geometry in Alexandria.

The 8 most intense peaks (10 to 90 degrees two-theta), sorted by position:
23.24 deg, I 100.0; 26.89 deg, I 11.4; 40.83 deg, I 20.5; 43.15 deg, I 7.0; 47.49 deg, I 29.1; 49.57 deg, I 10.0; 59.11 deg, I 7.7; 64.39 deg, I 7.6

Cell lengths 4.420, 4.420, 6.633 Å; angles 90.00, 90.00, 120.00 degrees
Atoms (fractional coordinates):
1 Cl 0.000 0.923 0.167
2 Cl 0.077 0.077 0.500
3 Cl 0.923 0.000 0.833

---

(2)
This entry pairs a crystal structure of Cl with its computed X-ray diffraction stick pattern. Radiation: CuKα. Structure: the PBE geometry in Alexandria.

The 8 most intense peaks (10 to 90 degrees two-theta), sorted by position:
22.09 deg, I 100.0; 22.77 deg, I 31.2; 24.65 deg, I 24.5; 26.09 deg, I 22.2; 30.06 deg, I 15.2; 30.68 deg, I 13.8; 32.02 deg, I 12.5; 32.95 deg, I 13.2

Cell lengths 4.442, 4.495, 7.649 Å; angles 80.53, 83.04, 77.95 degrees
Atoms (fractional coordinates):
1 Cl 0.000 0.000 0.000
2 Cl 0.177 0.497 0.499
3 Cl 0.407 0.696 0.282
4 Cl 0.770 0.229 0.791

---

(3)
This entry pairs a crystal structure of Cl with its computed X-ray diffraction stick pattern. Radiation: CuKα. Structure: the PBE geometry in Alexandria.

The 8 most intense peaks (10 to 90 degrees two-theta), sorted by position:
14.95 deg, I 29.2; 17.71 deg, I 100.0; 23.74 deg, I 24.7; 24.21 deg, I 51.2; 29.38 deg, I 13.4; 37.97 deg, I 43.3; 52.23 deg, I 15.0; 53.45 deg, I 14.4

Cell lengths 10.044, 8.220, 7.766 Å; angles 77.80, 53.11, 49.09 degrees
Atoms (fractional coordinates):
1 Cl 0.026 0.724 0.026
2 Cl 0.125 0.125 0.625
3 Cl 0.276 0.974 0.276
4 Cl 0.375 0.375 0.875
5 Cl 0.625 0.625 0.125
6 Cl 0.724 0.026 0.724
7 Cl 0.875 0.875 0.375
8 Cl 0.974 0.276 0.974

---

(4)
This entry pairs a crystal structure of Cl with its computed X-ray diffraction stick pattern. Radiation: CuKα. Structure: the PBE geometry in Alexandria.

The 8 most intense peaks (10 to 90 degrees two-theta), sorted by position:
22.18 deg, I 100.0; 22.76 deg, I 60.1; 23.36 deg, I 47.0; 28.47 deg, I 36.4; 30.05 deg, I 26.9; 35.20 deg, I 14.6; 39.66 deg, I 14.8; 41.79 deg, I 15.1

Cell lengths 4.331, 4.334, 5.000 Å; angles 109.19, 112.84, 92.86 degrees
Atoms (fractional coordinates):
1 Cl 0.103 0.014 0.222
2 Cl 0.897 0.986 0.778

---

(5)
This entry pairs a crystal structure of Cl with its computed X-ray diffraction stick pattern. Radiation: CuKα. Structure: the PBE geometry in Alexandria.

The 8 most intense peaks (10 to 90 degrees two-theta), sorted by position:
20.63 deg, I 36.8; 20.82 deg, I 30.2; 22.66 deg, I 100.0; 27.11 deg, I 13.7; 33.60 deg, I 16.9; 35.46 deg, I 19.2; 36.11 deg, I 20.5; 44.99 deg, I 13.7

Cell lengths 5.829, 5.962, 8.928 Å; angles 104.52, 93.89, 93.73 degrees
Atoms (fractional coordinates):
1 Cl 0.118 0.274 0.296
2 Cl 0.230 0.338 0.627
3 Cl 0.332 0.353 0.851
4 Cl 0.333 0.024 0.223
5 Cl 0.667 0.976 0.777
6 Cl 0.668 0.647 0.149
7 Cl 0.770 0.662 0.373
8 Cl 0.882 0.726 0.704

---

(6)
This entry pairs a crystal structure of Cl with its computed X-ray diffraction stick pattern. Radiation: CuKα. Structure: the PBE geometry in Alexandria.

The 8 most intense peaks (10 to 90 degrees two-theta), sorted by position:
12.99 deg, I 51.5; 18.41 deg, I 100.0; 22.60 deg, I 35.2; 26.15 deg, I 58.0; 29.31 deg, I 26.3; 32.18 deg, I 36.9; 34.83 deg, I 23.4; 51.97 deg, I 18.8

Cell lengths 8.346, 8.346, 8.346 Å; angles 109.47, 109.47, 109.47 degrees
Atoms (fractional coordinates):
1 Cl 0.000 0.000 0.283
2 Cl 0.000 0.000 0.522
3 Cl 0.000 0.283 0.000
4 Cl 0.000 0.522 0.000
5 Cl 0.283 0.000 0.000
6 Cl 0.478 0.478 0.478
7 Cl 0.522 0.000 0.000
8 Cl 0.717 0.717 0.717